# 1
The following is a calculated XRD peak list of Ba2CuO4. It was derived from a structure optimized by DFT (PBE), using a wavelength of 1.5418 Å.

Crystal structure
```
data_Ba2CuO4
_cell_length_a 5.5136
_cell_length_b 5.5136
_cell_length_c 15.0154
_cell_angle_alpha 90.00
_cell_angle_beta 90.00
_cell_angle_gamma 90.00
_symmetry_space_group_name_H-M 'I 4/m m m'
_symmetry_Int_Tables_number 139
_symmetry_space_group_name_Hall '-I 4 2'
loop_
_atom_site_label
_atom_site_type_symbol
_atom_site_fract_x
_atom_site_fract_y
_atom_site_fract_z
_atom_site_occupancy
Ba1 Ba 0.0000 0.5000 0.1289 1
Cu1 Cu 0.0000 0.0000 0.0000 1
Cu2 Cu 0.0000 0.0000 0.5000 1
O1 O 0.0000 0.0000 0.1925 1
O2 O 0.0000 0.0000 0.2951 1
O3 O 0.2494 0.2494 0.5000 1
```

Principal peaks in the range 10 to 90 degrees two-theta, low angle first:
2θ/deg  d [Å]  Rel. int.  h k l
11.79  7.508  10  0 0 2
22.81  3.899  27  1 1 0
23.70  3.754  11  0 0 4
32.48  2.757  50  2 0 0
33.13  2.704  100  1 1 4
40.60  2.222  23  2 0 4
46.59  1.949  25  2 2 0
58.36  1.581  38  3 1 4
59.59  1.551  12  2 0 8
69.53  1.352  11  2 2 8

---

# 2
The following is a calculated XRD peak list of Cu2GeI6. It was derived from a structure optimized by DFT (PBE), using a wavelength of 1.5418 Å.

Crystal structure
```
data_Cu2GeI6
_cell_length_a 10.9362
_cell_length_b 10.9362
_cell_length_c 10.9362
_cell_angle_alpha 90.00
_cell_angle_beta 90.00
_cell_angle_gamma 90.00
_symmetry_space_group_name_H-M 'F m -3 m'
_symmetry_Int_Tables_number 225
_symmetry_space_group_name_Hall '-F 4 2 3'
loop_
_atom_site_label
_atom_site_type_symbol
_atom_site_fract_x
_atom_site_fract_y
_atom_site_fract_z
_atom_site_occupancy
Cu1 Cu 0.2500 0.2500 0.2500 1
Ge1 Ge 0.0000 0.0000 0.0000 1
I1 I 0.0000 0.0000 0.2494 1
```

Principal peaks in the range 10 to 90 degrees two-theta, low angle first:
2θ/deg  d [Å]  Rel. int.  h k l
16.21  5.468  15  2 0 0
28.27  3.157  100  2 2 2
32.76  2.734  71  4 0 0
47.00  1.933  51  4 4 0
55.76  1.649  43  6 2 2
58.47  1.579  17  4 4 4
68.66  1.367  8  8 0 0
75.84  1.254  17  6 6 2
78.17  1.223  22  8 4 0
87.37  1.116  17  8 4 4